# 1
Computed powder X-ray diffraction pattern of Co5Se4Cl2O12 for Cu Kα X-rays, from DFT lattice parameters and positions (GGA+U).
Kinematic intensities with the Lorentz-polarization factor, no thermal factor.

Principal peaks in the range 15° ≤ 2θ ≤ 90°, low angle first:
24.33 deg, intensity 63
25.54 deg, intensity 37
28.36 deg, intensity 40
28.68 deg, intensity 72
33.13 deg, intensity 100
33.88 deg, intensity 93
35.41 deg, intensity 37
37.44 deg, intensity 39

```
Co5Se4Cl2O12
1.0
6.5167 0.0000 0.0000
1.1716 7.5718 0.0000
2.2189 2.8613 6.7788
Co Se Cl O
5 4 2 12
Direct
0.0000 0.0000 0.0000
0.1210 0.6980 0.4189
0.3206 0.8685 0.6591
0.6794 0.1315 0.3409
0.8790 0.3020 0.5811
0.2109 0.1789 0.2128
0.3467 0.3100 0.6818
0.6533 0.6900 0.3182
0.7891 0.8211 0.7872
0.1859 0.6704 0.0275
0.8141 0.3296 0.9725
0.0390 0.7930 0.6414
0.1691 0.9636 0.2011
0.1709 0.4107 0.5312
0.2683 0.0749 0.7825
0.3605 0.1070 0.3832
0.4151 0.6943 0.4907
0.5849 0.3057 0.5093
0.6395 0.8930 0.6168
0.7317 0.9251 0.2175
0.8291 0.5893 0.4688
0.8309 0.0364 0.7989
0.9610 0.2070 0.3586
```

# 2
Computed powder X-ray diffraction pattern of Co3Se4Cl2O10 for Cu Kα X-rays, from DFT lattice parameters and positions (GGA+U).
Kinematic intensities with the Lorentz-polarization factor, no thermal factor.

Principal peaks in the range 15° ≤ 2θ ≤ 90°, low angle first:
23.06 deg, intensity 21
25.52 deg, intensity 16
26.12 deg, intensity 53
29.13 deg, intensity 23
30.46 deg, intensity 100
31.92 deg, intensity 20
35.17 deg, intensity 24
36.86 deg, intensity 41

```
Co3Se4Cl2O10
1.0
3.6088 -6.9798 0.0000
3.6088 6.9798 0.0000
-1.7149 0.0000 5.4940
Co Se Cl O
3 4 2 10
Direct
0.0000 0.0000 0.0000
0.1266 0.8734 0.5000
0.8734 0.1266 0.5000
0.1868 0.5107 0.2157
0.4893 0.8132 0.7843
0.5107 0.1868 0.2157
0.8132 0.4893 0.7843
0.2153 0.2153 0.7454
0.7847 0.7847 0.2546
0.0312 0.2472 0.2324
0.0328 0.5872 0.2808
0.2472 0.0312 0.2324
0.3881 0.6119 0.5000
0.4128 0.9672 0.7192
0.5872 0.0328 0.2808
0.6119 0.3881 0.5000
0.7528 0.9688 0.7676
0.9672 0.4128 0.7192
0.9688 0.7528 0.7676
```

# 3
Computed powder X-ray diffraction pattern of Co2SnCl2O3 for Cu Kα X-rays, from DFT lattice parameters and positions (GGA+U).
Kinematic intensities with the Lorentz-polarization factor, no thermal factor.

Principal peaks in the range 15° ≤ 2θ ≤ 90°, low angle first:
21.84 deg, intensity 47
25.31 deg, intensity 62
25.42 deg, intensity 62
30.34 deg, intensity 64
31.17 deg, intensity 100
34.74 deg, intensity 64
38.60 deg, intensity 39
40.75 deg, intensity 48

```
Co2SnCl2O3
1.0
5.0173 0.0000 0.0000
0.0000 7.0078 0.0000
-0.4965 0.0000 7.6403
Co Sn Cl O
4 2 4 6
Direct
0.0000 0.0000 0.0000
0.0000 0.5000 0.0000
0.2943 0.2500 0.7815
0.7057 0.7500 0.2185
0.4684 0.7500 0.7788
0.5316 0.2500 0.2212
0.2307 0.7500 0.2064
0.2484 0.2500 0.4609
0.7516 0.7500 0.5391
0.7693 0.2500 0.7936
0.2193 0.2500 0.0476
0.2429 0.5258 0.8010
0.2429 0.9742 0.8010
0.7571 0.0258 0.1990
0.7571 0.4742 0.1990
0.7807 0.7500 0.9524
```

# 4
Computed powder X-ray diffraction pattern of Co2TeCl2O3 for Cu Kα X-rays, from DFT lattice parameters and positions (GGA+U).
Kinematic intensities with the Lorentz-polarization factor, no thermal factor.

Principal peaks in the range 15° ≤ 2θ ≤ 90°, low angle first:
24.05 deg, intensity 80
24.92 deg, intensity 65
26.56 deg, intensity 78
32.44 deg, intensity 58
32.66 deg, intensity 55
33.04 deg, intensity 55
35.17 deg, intensity 100
36.74 deg, intensity 56

```
Co2TeCl2O3
1.0
5.0490 0.0000 0.0000
0.0000 6.7111 0.0000
-2.2486 0.0000 7.8593
Co Te Cl O
4 2 4 6
Direct
0.0000 0.0000 0.0000
0.0000 0.5000 0.0000
0.2469 0.2500 0.7860
0.7531 0.7500 0.2140
0.3988 0.7500 0.7435
0.6012 0.2500 0.2565
0.1581 0.2500 0.4905
0.2594 0.7500 0.2124
0.7406 0.2500 0.7876
0.8419 0.7500 0.5095
0.2388 0.5387 0.8376
0.2388 0.9613 0.8376
0.2544 0.2500 0.0726
0.7456 0.7500 0.9274
0.7612 0.0387 0.1624
0.7612 0.4613 0.1624
```

# 5
Computed powder X-ray diffraction pattern of Co3Te2Cl2O6 for Cu Kα X-rays, from DFT lattice parameters and positions (GGA+U).
Kinematic intensities with the Lorentz-polarization factor, no thermal factor.

Principal peaks in the range 15° ≤ 2θ ≤ 90°, low angle first:
18.90 deg, intensity 36
24.28 deg, intensity 29
26.86 deg, intensity 100
27.86 deg, intensity 77
34.93 deg, intensity 63
37.44 deg, intensity 52
39.08 deg, intensity 43
50.97 deg, intensity 34

```
Co3Te2Cl2O6
1.0
4.6923 -3.2028 0.0000
4.6923 3.2028 0.0000
-2.6325 0.0000 7.3317
Co Te Cl O
3 2 2 6
Direct
0.0000 0.0000 0.0000
0.4235 0.4235 0.1558
0.5765 0.5765 0.8442
0.1619 0.1619 0.7193
0.8381 0.8381 0.2807
0.2823 0.2823 0.3586
0.7177 0.7177 0.6414
0.1110 0.7225 0.1478
0.2775 0.8890 0.8522
0.3647 0.3647 0.8711
0.6353 0.6353 0.1289
0.7225 0.1110 0.1478
0.8890 0.2775 0.8522
```

- What is the formula in the third record?
  Co2SnCl2O3